# 1
Structure and computed X-ray diffraction stick pattern of ThSeCl (a DFT-relaxed cell (PBE, Alexandria); Cu Kα (weighted mean of Kα1 and Kα2)).
Lines closer than 0.1° are merged.

Main lines, most intense first (2θ from 10° to 90°):
(1 1 0), d = 2.894 Å, intensity 100
(0 1 -1), d = 4.103 Å, intensity 98
(1 1 1), d = 2.802 Å, intensity 77
(0 0 3), d = 3.684 Å, intensity 67
(1 -1 3), d = 2.276 Å, intensity 62
(0 2 0), d = 2.210 Å, intensity 38

Structural model:
```
data_ThSeCl
_symmetry_space_group_name_H-M 'P -1'
_symmetry_Int_Tables_number 2
_cell_length_a 3.830
_cell_length_b 4.419
_cell_length_c 11.051
_cell_angle_alpha 89.69
_cell_angle_beta 89.70
_cell_angle_gamma 90.00
loop_
_symmetry_equiv_pos_as_xyz
'x,y,z'
'-x,-y,-z'
loop_
_atom_site_label
_atom_site_type_symbol
_atom_site_fract_x
_atom_site_fract_y
_atom_site_fract_z
Th1 Th 0.247 0.248 0.165
Se1 Se 0.252 0.252 0.890
Cl1 Cl 0.255 0.755 0.645
```



# 2
Structure and computed X-ray diffraction stick pattern of Cs14RbHg (a DFT-relaxed cell (PBE, Alexandria); Cu Kα (weighted mean of Kα1 and Kα2)).
Lines closer than 0.1° are merged.

Main lines, most intense first (2θ from 10° to 90°):
(2 2 2), d = 4.280 Å, intensity 100
(0 0 4), d = 4.235 Å, intensity 22
(2 5 3), d = 2.271 Å, intensity 17
(3 2 2), d = 3.618 Å, intensity 17
(4 0 0), d = 3.786 Å, intensity 15
(0 4 0), d = 3.283 Å, intensity 14

Structural model:
```
data_Cs14RbHg
_symmetry_space_group_name_H-M 'A m m 2'
_symmetry_Int_Tables_number 38
_cell_length_a 15.142
_cell_length_b 13.136
_cell_length_c 16.934
_cell_angle_alpha 90.00
_cell_angle_beta 90.00
_cell_angle_gamma 90.00
loop_
_symmetry_equiv_pos_as_xyz
'x,y,z'
'-x,-y,z'
'-x,y,z'
'x,-y,z'
'x,y+1/2,z+1/2'
'-x,-y+1/2,z+1/2'
'-x,y+1/2,z+1/2'
'x,-y+1/2,z+1/2'
loop_
_atom_site_label
_atom_site_type_symbol
_atom_site_fract_x
_atom_site_fract_y
_atom_site_fract_z
Cs1 Cs 0.000 0.000 0.000
Cs2 Cs 0.000 0.000 0.470
Cs3 Cs 0.000 0.211 0.734
Cs4 Cs 0.230 0.000 0.232
Cs5 Cs 0.281 0.000 0.805
Cs6 Cs 0.311 0.186 0.531
Cs7 Cs 0.500 0.225 0.274
Rb1 Rb 0.500 0.000 0.024
Hg1 Hg 0.500 0.000 0.656
```



# 3
Structure and computed X-ray diffraction stick pattern of Nd2Ho4Tm7 (a DFT-relaxed cell (PBE, Alexandria); Cu Kα (weighted mean of Kα1 and Kα2)).
Lines closer than 0.1° are merged.

Main lines, most intense first (2θ from 10° to 90°):
(2 -1 2), d = 2.738 Å, intensity 100
(1 1 1), d = 2.930 Å, intensity 49
(1 1 3), d = 2.488 Å, intensity 32
(3 0 0), d = 1.734 Å, intensity 30
(0 0 4), d = 3.333 Å, intensity 20
(2 -1 6), d = 1.786 Å, intensity 19

Structural model:
```
data_Nd2Ho4Tm7
_symmetry_space_group_name_H-M 'P -3 1 m'
_symmetry_Int_Tables_number 162
_symmetry_space_group_name_Hall '-P 3 2'
_cell_length_a 6.0063
_cell_length_b 6.0063
_cell_length_c 13.3324
_cell_angle_alpha 90.00
_cell_angle_beta 90.00
_cell_angle_gamma 120.00
loop_
_atom_site_label
_atom_site_type_symbol
_atom_site_fract_x
_atom_site_fract_y
_atom_site_fract_z
Nd1 Nd 0.3333 0.6667 0.0000
Ho1 Ho 0.0000 0.0000 0.3953
Ho2 Ho 0.3333 0.6667 0.5000
Tm1 Tm 0.0000 0.0000 0.0000
Tm2 Tm 0.0000 0.3483 0.2151
```